Entry 1:
# LiLaCdIn2
Computed powder diffractogram, Cu Kα (λ = 1.5418 Å). Input: the PBE geometry in Alexandria.
Intensities are scaled so that the largest is 100.

Principal peaks in the range 15 to 90 degrees two-theta, in order of rising 2θ:
2θ (°), I/Imax
20.64, 39.5
27.43, 45.2
29.30, 100.0
31.16, 86.7
39.18, 66.7
40.53, 21.7
41.88, 61.1
49.66, 45.5
56.60, 22.1
58.69, 44.5

```
data_LiLaCdIn2
_chemical_formula_sum 'Li1 La1 Cd1 In2'
_symmetry_space_group_name_H-M 'P 1'
_symmetry_Int_Tables_number 1
_cell_length_a 6.917
_cell_length_b 6.917
_cell_length_c 6.917
_cell_angle_alpha 141.17
_cell_angle_beta 141.17
_cell_angle_gamma 56.09
loop_
_symmetry_equiv_pos_as_xyz
'x,y,z'
loop_
_atom_site_label
_atom_site_type_symbol
_atom_site_fract_x
_atom_site_fract_y
_atom_site_fract_z
_atom_site_occupancy
Li1 Li 0.000 0.000 0.000 1
La1 La 0.250 0.750 0.500 1
Cd1 Cd 0.500 0.500 0.000 1
In1 In 0.636 0.136 0.500 1
In2 In 0.864 0.364 0.500 1
```

---

Entry 2:
# La2NdCd2In2
Computed powder diffractogram, Cu Kα (λ = 1.5418 Å). Input: the PBE geometry in Alexandria.
Intensities are scaled so that the largest is 100.

Principal peaks in the range 15 to 90 degrees two-theta, in order of rising 2θ:
2θ (°), I/Imax
30.38, 63.7
32.87, 75.0
35.83, 100.0
47.67, 18.1
49.40, 23.5
61.04, 17.1
61.98, 37.4
62.52, 22.9
64.38, 17.5
84.76, 15.6

```
data_La2NdCd2In2
_chemical_formula_sum 'La2 Nd1 Cd2 In2'
_symmetry_space_group_name_H-M 'P 1'
_symmetry_Int_Tables_number 1
_cell_length_a 9.773
_cell_length_b 9.773
_cell_length_c 9.773
_cell_angle_alpha 29.72
_cell_angle_beta 29.72
_cell_angle_gamma 29.72
loop_
_symmetry_equiv_pos_as_xyz
'x,y,z'
loop_
_atom_site_label
_atom_site_type_symbol
_atom_site_fract_x
_atom_site_fract_y
_atom_site_fract_z
_atom_site_occupancy
La1 La 0.130 0.130 0.130 1
La2 La 0.870 0.870 0.870 1
Nd1 Nd 0.000 0.000 0.000 1
Cd1 Cd 0.398 0.398 0.398 1
Cd2 Cd 0.602 0.602 0.602 1
In1 In 0.264 0.264 0.264 1
In2 In 0.736 0.736 0.736 1
```

---

Entry 3:
# La2PrCd2In2
Computed powder diffractogram, Cu Kα (λ = 1.5418 Å). Input: the PBE geometry in Alexandria.
Intensities are scaled so that the largest is 100.

Principal peaks in the range 15 to 90 degrees two-theta, in order of rising 2θ:
2θ (°), I/Imax
30.32, 66.6
32.80, 72.0
35.77, 100.0
47.58, 18.9
49.31, 22.6
60.93, 17.8
61.83, 37.9
62.40, 22.0
64.28, 17.5
84.56, 15.8

```
data_La2PrCd2In2
_chemical_formula_sum 'La2 Pr1 Cd2 In2'
_symmetry_space_group_name_H-M 'P 1'
_symmetry_Int_Tables_number 1
_cell_length_a 9.797
_cell_length_b 9.797
_cell_length_c 9.797
_cell_angle_alpha 29.69
_cell_angle_beta 29.69
_cell_angle_gamma 29.69
loop_
_symmetry_equiv_pos_as_xyz
'x,y,z'
loop_
_atom_site_label
_atom_site_type_symbol
_atom_site_fract_x
_atom_site_fract_y
_atom_site_fract_z
_atom_site_occupancy
La1 La 0.131 0.131 0.131 1
La2 La 0.869 0.869 0.869 1
Pr1 Pr 0.000 0.000 0.000 1
Cd1 Cd 0.399 0.399 0.399 1
Cd2 Cd 0.601 0.601 0.601 1
In1 In 0.264 0.264 0.264 1
In2 In 0.736 0.736 0.736 1
```

---

Entry 4:
# Li3Cd8In2
Computed powder diffractogram, Cu Kα (λ = 1.5418 Å). Input: the PBE geometry in Alexandria.
Intensities are scaled so that the largest is 100.

Principal peaks in the range 15 to 90 degrees two-theta, in order of rising 2θ:
2θ (°), I/Imax
16.45, 32.8
18.16, 32.4
32.47, 57.7
35.54, 63.0
36.80, 100.0
40.37, 35.7
41.45, 43.1
54.38, 29.1
58.56, 27.9
65.43, 28.8

```
data_Li3Cd8In2
_chemical_formula_sum 'Li3 Cd8 In2'
_symmetry_space_group_name_H-M 'P 1'
_symmetry_Int_Tables_number 1
_cell_length_a 11.269
_cell_length_b 11.269
_cell_length_c 11.269
_cell_angle_alpha 29.33
_cell_angle_beta 29.33
_cell_angle_gamma 29.33
loop_
_symmetry_equiv_pos_as_xyz
'x,y,z'
loop_
_atom_site_label
_atom_site_type_symbol
_atom_site_fract_x
_atom_site_fract_y
_atom_site_fract_z
_atom_site_occupancy
Li1 Li 0.000 0.000 0.000 1
Li2 Li 0.186 0.186 0.186 1
Li3 Li 0.814 0.814 0.814 1
Cd1 Cd 0.220 0.721 0.721 1
Cd2 Cd 0.271 0.271 0.271 1
Cd3 Cd 0.279 0.279 0.780 1
Cd4 Cd 0.279 0.780 0.279 1
Cd5 Cd 0.721 0.220 0.721 1
Cd6 Cd 0.721 0.721 0.220 1
Cd7 Cd 0.729 0.729 0.729 1
Cd8 Cd 0.780 0.279 0.279 1
In1 In 0.361 0.361 0.361 1
In2 In 0.639 0.639 0.639 1
```

---

Entry 5:
# Li5CdIn3
Computed powder diffractogram, Cu Kα (λ = 1.5418 Å). Input: the PBE geometry in Alexandria.
Intensities are scaled so that the largest is 100.

Principal peaks in the range 15 to 90 degrees two-theta, in order of rising 2θ:
2θ (°), I/Imax
15.27, 60.9
15.39, 20.9
21.21, 43.3
24.48, 100.0
30.47, 61.7
32.04, 27.6
33.24, 25.4
35.01, 21.8
39.91, 23.0
43.19, 22.9

```
data_Li5CdIn3
_chemical_formula_sum 'Li10 Cd2 In6'
_symmetry_space_group_name_H-M 'P 1'
_symmetry_Int_Tables_number 1
_cell_length_a 6.041
_cell_length_b 6.041
_cell_length_c 11.553
_cell_angle_alpha 93.69
_cell_angle_beta 93.69
_cell_angle_gamma 74.02
loop_
_symmetry_equiv_pos_as_xyz
'x,y,z'
loop_
_atom_site_label
_atom_site_type_symbol
_atom_site_fract_x
_atom_site_fract_y
_atom_site_fract_z
_atom_site_occupancy
Li1 Li 0.018 0.018 0.276 1
Li2 Li 0.076 0.492 0.331 1
Li3 Li 0.160 0.840 0.000 1
Li4 Li 0.236 0.236 0.873 1
Li5 Li 0.492 0.076 0.331 1
Li6 Li 0.508 0.924 0.669 1
Li7 Li 0.764 0.764 0.127 1
Li8 Li 0.840 0.160 0.000 1
Li9 Li 0.924 0.508 0.669 1
Li10 Li 0.982 0.982 0.724 1
Cd1 Cd 0.465 0.465 0.745 1
Cd2 Cd 0.535 0.535 0.255 1
In1 In 0.158 0.158 0.512 1
In2 In 0.238 0.238 0.117 1
In3 In 0.500 0.500 0.000 1
In4 In 0.500 0.500 0.500 1
In5 In 0.762 0.762 0.883 1
In6 In 0.842 0.842 0.488 1
```

---

Entry 6:
# Li2Cd3In3
Computed powder diffractogram, Cu Kα (λ = 1.5418 Å). Input: the PBE geometry in Alexandria.
Intensities are scaled so that the largest is 100.

Principal peaks in the range 15 to 90 degrees two-theta, in order of rising 2θ:
2θ (°), I/Imax
21.63, 55.8
34.67, 19.3
35.84, 100.0
37.94, 46.8
44.09, 6.9
53.18, 21.0
55.15, 6.7
67.17, 15.6
71.76, 12.6
75.00, 7.3

```
data_Li2Cd3In3
_chemical_formula_sum 'Li2 Cd3 In3'
_symmetry_space_group_name_H-M 'P 1'
_symmetry_Int_Tables_number 1
_cell_length_a 5.700
_cell_length_b 5.700
_cell_length_c 5.700
_cell_angle_alpha 92.21
_cell_angle_beta 92.21
_cell_angle_gamma 92.21
loop_
_symmetry_equiv_pos_as_xyz
'x,y,z'
loop_
_atom_site_label
_atom_site_type_symbol
_atom_site_fract_x
_atom_site_fract_y
_atom_site_fract_z
_atom_site_occupancy
Li1 Li 0.241 0.241 0.241 1
Li2 Li 0.759 0.759 0.759 1
Cd1 Cd 0.000 0.700 0.300 1
Cd2 Cd 0.300 0.000 0.700 1
Cd3 Cd 0.700 0.300 0.000 1
In1 In 0.206 0.500 0.794 1
In2 In 0.500 0.794 0.206 1
In3 In 0.794 0.206 0.500 1
```

---

Entry 7:
# Li15Cd4In
Computed powder diffractogram, Cu Kα (λ = 1.5418 Å). Input: the PBE geometry in Alexandria.
Intensities are scaled so that the largest is 100.

Principal peaks in the range 15 to 90 degrees two-theta, in order of rising 2θ:
2θ (°), I/Imax
21.01, 100.0
21.42, 47.8
29.88, 41.8
30.18, 81.5
37.06, 65.6
42.76, 21.7
48.11, 21.6
48.31, 21.3
48.90, 20.5
53.23, 31.5

```
data_Li15Cd4In
_chemical_formula_sum 'Li15 Cd4 In1'
_symmetry_space_group_name_H-M 'P 1'
_symmetry_Int_Tables_number 1
_cell_length_a 4.229
_cell_length_b 4.229
_cell_length_c 20.744
_cell_angle_alpha 90.00
_cell_angle_beta 90.00
_cell_angle_gamma 90.00
loop_
_symmetry_equiv_pos_as_xyz
'x,y,z'
loop_
_atom_site_label
_atom_site_type_symbol
_atom_site_fract_x
_atom_site_fract_y
_atom_site_fract_z
_atom_site_occupancy
Li1 Li 0.000 0.000 0.000 1
Li2 Li 0.000 0.000 0.201 1
Li3 Li 0.000 0.000 0.400 1
Li4 Li 0.000 0.000 0.600 1
Li5 Li 0.000 0.000 0.799 1
Li6 Li 0.000 0.500 0.101 1
Li7 Li 0.000 0.500 0.301 1
Li8 Li 0.000 0.500 0.500 1
Li9 Li 0.000 0.500 0.699 1
Li10 Li 0.000 0.500 0.899 1
Li11 Li 0.500 0.000 0.101 1
Li12 Li 0.500 0.000 0.301 1
Li13 Li 0.500 0.000 0.500 1
Li14 Li 0.500 0.000 0.699 1
Li15 Li 0.500 0.000 0.899 1
Cd1 Cd 0.500 0.500 0.200 1
Cd2 Cd 0.500 0.500 0.400 1
Cd3 Cd 0.500 0.500 0.600 1
Cd4 Cd 0.500 0.500 0.800 1
In1 In 0.500 0.500 0.000 1
```

---

Entry 8:
# Li15Cd2In2
Computed powder diffractogram, Cu Kα (λ = 1.5418 Å). Input: the PBE geometry in Alexandria.
Intensities are scaled so that the largest is 100.

Principal peaks in the range 15 to 90 degrees two-theta, in order of rising 2θ:
2θ (°), I/Imax
15.99, 12.3
21.46, 100.0
28.41, 44.9
35.88, 31.7
37.62, 27.1
37.76, 19.8
42.19, 31.0
43.72, 17.9
52.96, 16.2
59.02, 12.5

```
data_Li15Cd2In2
_chemical_formula_sum 'Li15 Cd2 In2'
_symmetry_space_group_name_H-M 'P 1'
_symmetry_Int_Tables_number 1
_cell_length_a 7.536
_cell_length_b 7.536
_cell_length_c 7.536
_cell_angle_alpha 66.66
_cell_angle_beta 66.66
_cell_angle_gamma 66.66
loop_
_symmetry_equiv_pos_as_xyz
'x,y,z'
loop_
_atom_site_label
_atom_site_type_symbol
_atom_site_fract_x
_atom_site_fract_y
_atom_site_fract_z
_atom_site_occupancy
Li1 Li 0.000 0.000 0.500 1
Li2 Li 0.000 0.302 0.698 1
Li3 Li 0.000 0.500 0.000 1
Li4 Li 0.000 0.698 0.302 1
Li5 Li 0.189 0.565 0.565 1
Li6 Li 0.302 0.000 0.698 1
Li7 Li 0.302 0.698 0.000 1
Li8 Li 0.435 0.435 0.811 1
Li9 Li 0.435 0.811 0.435 1
Li10 Li 0.500 0.000 0.000 1
Li11 Li 0.565 0.189 0.565 1
Li12 Li 0.565 0.565 0.189 1
Li13 Li 0.698 0.000 0.302 1
Li14 Li 0.698 0.302 0.000 1
Li15 Li 0.811 0.435 0.435 1
Cd1 Cd 0.091 0.091 0.091 1
Cd2 Cd 0.909 0.909 0.909 1
In1 In 0.286 0.286 0.286 1
In2 In 0.714 0.714 0.714 1
```

---

Entry 9:
# Li4CdIn10
Computed powder diffractogram, Cu Kα (λ = 1.5418 Å). Input: the PBE geometry in Alexandria.
Intensities are scaled so that the largest is 100.

Principal peaks in the range 15 to 90 degrees two-theta, in order of rising 2θ:
2θ (°), I/Imax
25.75, 43.4
27.41, 81.4
37.97, 100.0
39.16, 49.1
47.46, 32.2
56.57, 15.7
63.17, 16.1
63.99, 13.3
67.78, 14.9
70.17, 30.7

```
data_Li4CdIn10
_chemical_formula_sum 'Li4 Cd1 In10'
_symmetry_space_group_name_H-M 'P 1'
_symmetry_Int_Tables_number 1
_cell_length_a 8.056
_cell_length_b 8.056
_cell_length_c 8.056
_cell_angle_alpha 100.62
_cell_angle_beta 100.62
_cell_angle_gamma 129.14
loop_
_symmetry_equiv_pos_as_xyz
'x,y,z'
loop_
_atom_site_label
_atom_site_type_symbol
_atom_site_fract_x
_atom_site_fract_y
_atom_site_fract_z
_atom_site_occupancy
Li1 Li 0.108 0.309 0.417 1
Li2 Li 0.309 0.892 0.201 1
Li3 Li 0.691 0.108 0.799 1
Li4 Li 0.892 0.691 0.583 1
Cd1 Cd 0.500 0.500 0.000 1
In1 In 0.022 0.128 0.694 1
In2 In 0.128 0.434 0.106 1
In3 In 0.250 0.750 0.500 1
In4 In 0.328 0.022 0.894 1
In5 In 0.434 0.328 0.306 1
In6 In 0.566 0.672 0.694 1
In7 In 0.672 0.978 0.106 1
In8 In 0.750 0.250 0.500 1
In9 In 0.872 0.566 0.894 1
In10 In 0.978 0.872 0.306 1
```

---

Entry 10:
# LiCd3In2
Computed powder diffractogram, Cu Kα (λ = 1.5418 Å). Input: the PBE geometry in Alexandria.
Intensities are scaled so that the largest is 100.

Principal peaks in the range 15 to 90 degrees two-theta, in order of rising 2θ:
2θ (°), I/Imax
33.27, 54.0
34.86, 100.0
35.04, 47.5
39.30, 37.8
40.44, 61.1
56.48, 23.5
58.83, 20.8
68.41, 13.1
69.85, 15.7
70.89, 12.5

```
data_LiCd3In2
_chemical_formula_sum 'Li2 Cd6 In4'
_symmetry_space_group_name_H-M 'P 1'
_symmetry_Int_Tables_number 1
_cell_length_a 5.545
_cell_length_b 5.545
_cell_length_c 10.433
_cell_angle_alpha 108.87
_cell_angle_beta 108.87
_cell_angle_gamma 68.24
loop_
_symmetry_equiv_pos_as_xyz
'x,y,z'
loop_
_atom_site_label
_atom_site_type_symbol
_atom_site_fract_x
_atom_site_fract_y
_atom_site_fract_z
_atom_site_occupancy
Li1 Li 0.127 0.873 0.750 1
Li2 Li 0.873 0.127 0.250 1
Cd1 Cd 0.034 0.282 0.570 1
Cd2 Cd 0.282 0.034 0.070 1
Cd3 Cd 0.369 0.631 0.250 1
Cd4 Cd 0.631 0.369 0.750 1
Cd5 Cd 0.718 0.966 0.930 1
Cd6 Cd 0.966 0.718 0.430 1
In1 In 0.200 0.449 0.898 1
In2 In 0.449 0.200 0.398 1
In3 In 0.551 0.800 0.602 1
In4 In 0.800 0.551 0.102 1
```

---

Entry 11:
# LiCd6In4
Computed powder diffractogram, Cu Kα (λ = 1.5418 Å). Input: the PBE geometry in Alexandria.
Intensities are scaled so that the largest is 100.

Principal peaks in the range 15 to 90 degrees two-theta, in order of rising 2θ:
2θ (°), I/Imax
24.58, 30.7
28.92, 66.8
32.06, 72.1
32.87, 100.0
33.64, 41.8
34.17, 37.4
35.93, 30.8
37.14, 93.9
38.09, 88.4
39.00, 78.3

```
data_LiCd6In4
_chemical_formula_sum 'Li2 Cd12 In8'
_symmetry_space_group_name_H-M 'P 1'
_symmetry_Int_Tables_number 1
_cell_length_a 5.727
_cell_length_b 5.727
_cell_length_c 21.729
_cell_angle_alpha 90.00
_cell_angle_beta 90.00
_cell_angle_gamma 129.99
loop_
_symmetry_equiv_pos_as_xyz
'x,y,z'
loop_
_atom_site_label
_atom_site_type_symbol
_atom_site_fract_x
_atom_site_fract_y
_atom_site_fract_z
_atom_site_occupancy
Li1 Li 0.076 0.924 0.750 1
Li2 Li 0.924 0.076 0.250 1
Cd1 Cd 0.000 0.000 0.000 1
Cd2 Cd 0.000 0.000 0.500 1
Cd3 Cd 0.210 0.790 0.250 1
Cd4 Cd 0.231 0.769 0.634 1
Cd5 Cd 0.231 0.769 0.866 1
Cd6 Cd 0.454 0.546 0.177 1
Cd7 Cd 0.454 0.546 0.323 1
Cd8 Cd 0.546 0.454 0.677 1
Cd9 Cd 0.546 0.454 0.823 1
Cd10 Cd 0.769 0.231 0.134 1
Cd11 Cd 0.769 0.231 0.366 1
Cd12 Cd 0.790 0.210 0.750 1
In1 In 0.083 0.917 0.127 1
In2 In 0.083 0.917 0.373 1
In3 In 0.329 0.671 0.032 1
In4 In 0.329 0.671 0.468 1
In5 In 0.671 0.329 0.532 1
In6 In 0.671 0.329 0.968 1
In7 In 0.917 0.083 0.627 1
In8 In 0.917 0.083 0.873 1
```

---

Entry 12:
# Li3Cd3In5
Computed powder diffractogram, Cu Kα (λ = 1.5418 Å). Input: the PBE geometry in Alexandria.
Intensities are scaled so that the largest is 100.

Principal peaks in the range 15 to 90 degrees two-theta, in order of rising 2θ:
2θ (°), I/Imax
17.79, 46.7
27.33, 99.0
29.01, 100.0
31.07, 67.2
36.03, 71.7
37.56, 33.0
40.28, 72.4
43.03, 51.7
46.90, 68.8
72.51, 39.6

```
data_Li3Cd3In5
_chemical_formula_sum 'Li3 Cd3 In5'
_symmetry_space_group_name_H-M 'P 1'
_symmetry_Int_Tables_number 1
_cell_length_a 9.970
_cell_length_b 9.970
_cell_length_c 3.078
_cell_angle_alpha 90.00
_cell_angle_beta 90.00
_cell_angle_gamma 120.00
loop_
_symmetry_equiv_pos_as_xyz
'x,y,z'
loop_
_atom_site_label
_atom_site_type_symbol
_atom_site_fract_x
_atom_site_fract_y
_atom_site_fract_z
_atom_site_occupancy
Li1 Li 0.000 0.413 0.000 1
Li2 Li 0.413 0.000 0.000 1
Li3 Li 0.587 0.587 0.000 1
Cd1 Cd 0.000 0.175 0.500 1
Cd2 Cd 0.175 0.000 0.500 1
Cd3 Cd 0.825 0.825 0.500 1
In1 In 0.000 0.655 0.500 1
In2 In 0.333 0.667 0.500 1
In3 In 0.345 0.345 0.500 1
In4 In 0.655 0.000 0.500 1
In5 In 0.667 0.333 0.500 1
```